[1]
Starting from a crystal structure in Alexandria, relaxed with GGA-PBE, the X-ray diffraction stick pattern of MgAl2Ni3 was calculated for Cu Kα X-rays.
No peak broadening, texture or thermal motion is included.

Structural model:
abc: 2.902 2.902 9.136
angles: 90.00 90.00 90.00
Space group P4/mmm (No. 123)
Symmetry-distinct sites (fractional):
Mg1 0.000 0.000 0.000 (multiplicity 1)
Al1 0.000 0.000 0.340 (multiplicity 2)
Ni1 0.500 0.500 0.193 (multiplicity 2)
Ni2 0.500 0.500 0.500 (multiplicity 1)

Main lines, by angle (2θ = 10–90°):
2θ (°)	d [Å]	intensity	h k l
29.33	3.045	11	0 0 3
30.81	2.902	26	1 0 0
43.05	2.101	100	1 0 3
44.13	2.052	53	1 1 0
50.87	1.795	8	1 0 4
53.87	1.702	7	1 1 3
60.83	1.523	6	0 0 6
64.18	1.451	16	2 0 0
78.16	1.223	11	1 1 6
80.43	1.194	29	2 1 3


[2]
Starting from a crystal structure in Alexandria, relaxed with GGA-PBE, the X-ray diffraction stick pattern of Zr8Co2Tc was calculated for Cu Kα X-rays.
No peak broadening, texture or thermal motion is included.

Structural model:
abc: 7.408 12.256 5.227
angles: 90.00 108.98 90.00
Space group C2/m (No. 12)
Symmetry-distinct sites (fractional):
Zr1 0.000 0.223 0.000 (multiplicity 4)
Zr2 0.127 0.500 0.830 (multiplicity 4)
Zr3 0.212 0.122 0.578 (multiplicity 8)
Co1 0.000 0.294 0.500 (multiplicity 4)
Tc1 0.000 0.000 0.000 (multiplicity 2)

Main lines, by angle (2θ = 10–90°):
2θ (°)	d [Å]	intensity	h k l
33.53	2.672	30	1 3 1
34.44	2.604	100	0 4 1
35.12	2.555	72	1 1 -2
35.92	2.500	58	2 0 1
36.35	2.471	31	0 0 2
37.59	2.393	74	3 1 -1
39.06	2.306	74	2 4 0
41.27	2.188	59	1 5 -1
60.48	1.531	41	2 4 2
72.34	1.306	27	2 0 -4